For AcTcPbO6, a GGA-PBE-relaxed structure gives the simulated powder X-ray diffraction pattern in this record (Cu Ka).

Crystal structure
Cell: 5.7185 5.7185 5.1378 Å, 90.00 90.00 120.00°
Space group P312 (No. 149)
Inequivalent atoms, fractional coordinates:
Ac  0.0000  0.0000  0.0000
Tc  0.6667  0.3333  0.5000
Pb  0.3333  0.6667  0.5000
O  0.3865  0.0582  0.7128

Principal peaks in the range 10 to 90 degrees two-theta, in order of falling intensity:
3.566 Å, 2θ = 24.97°, I = 100
2.859 Å, 2θ = 31.28°, I = 45
1.911 Å, 2θ = 47.59°, I = 38
2.231 Å, 2θ = 40.44°, I = 28
1.759 Å, 2θ = 52.00°, I = 28
1.651 Å, 2θ = 55.68°, I = 13
1.327 Å, 2θ = 71.04°, I = 11
1.619 Å, 2θ = 56.89°, I = 11
1.389 Å, 2θ = 67.44°, I = 10
1.264 Å, 2θ = 75.20°, I = 10

For Ac2TiPbO6, a GGA-PBE-relaxed structure gives the simulated powder X-ray diffraction pattern in this record (Cu Ka).

Crystal structure
Cell: 5.720 5.720 5.421 Å, 90.00 90.00 90.00°
Space group P4mm (No. 99)
Inequivalent atoms, fractional coordinates:
Ac  0.000  0.500  0.000
Ti  0.000  0.000  0.610
Pb  0.500  0.500  0.551
O  0.000  0.000  0.273
O  0.224  0.224  0.740
O  0.500  0.500  0.114

Principal peaks in the range 10 to 90 degrees two-theta, in order of falling intensity:
3.242 Å, 2θ = 27.52°, I = 100
2.860 Å, 2θ = 31.28°, I = 36
1.716 Å, 2θ = 53.40°, I = 33
1.967 Å, 2θ = 46.14°, I = 26
2.022 Å, 2θ = 44.82°, I = 19
1.279 Å, 2θ = 74.16°, I = 16
5.421 Å, 2θ = 16.35°, I = 13
2.710 Å, 2θ = 33.05°, I = 11
1.650 Å, 2θ = 55.72°, I = 11
1.621 Å, 2θ = 56.80°, I = 11

For Ac2Tm4Pb3O2, a GGA-PBE-relaxed structure gives the simulated powder X-ray diffraction pattern in this record (Cu Ka).

Crystal structure
Cell: 4.706 4.706 26.405 Å, 90.00 90.00 90.00°
Space group I4/mmm (No. 139)
Inequivalent atoms, fractional coordinates:
Ac  0.000  0.000  0.197
Tm  0.000  0.500  0.079
Pb  0.000  0.000  0.334
Pb  0.000  0.000  0.500
O  0.000  0.000  0.087

Principal peaks in the range 10 to 90 degrees two-theta, in order of falling intensity:
2.654 Å, 2θ = 33.77°, I = 100
2.353 Å, 2θ = 38.25°, I = 54
3.227 Å, 2θ = 27.64°, I = 39
2.943 Å, 2θ = 30.37°, I = 38
1.410 Å, 2θ = 66.30°, I = 30
1.838 Å, 2θ = 49.60°, I = 21
1.664 Å, 2θ = 55.20°, I = 19
3.301 Å, 2θ = 27.01°, I = 15
1.916 Å, 2θ = 47.45°, I = 13
1.865 Å, 2θ = 48.84°, I = 12

For Ac2TmPb2O2, a GGA-PBE-relaxed structure gives the simulated powder X-ray diffraction pattern in this record (Cu Ka).

Crystal structure
Cell: 4.480 4.480 17.345 Å, 90.00 90.00 90.00°
Space group I4/mmm (No. 139)
Inequivalent atoms, fractional coordinates:
Ac  0.000  0.000  0.109
Tm  0.000  0.000  0.500
Pb  0.000  0.000  0.301
O  0.000  0.500  0.000

Principal peaks in the range 10 to 90 degrees two-theta, in order of falling intensity:
2.743 Å, 2θ = 32.65°, I = 100
3.168 Å, 2θ = 28.17°, I = 70
1.735 Å, 2θ = 52.77°, I = 59
2.240 Å, 2θ = 40.26°, I = 31
1.371 Å, 2θ = 68.40°, I = 24
1.170 Å, 2θ = 82.46°, I = 22
1.521 Å, 2θ = 60.89°, I = 15
1.417 Å, 2θ = 65.94°, I = 14
1.097 Å, 2θ = 89.28°, I = 11
1.584 Å, 2θ = 58.25°, I = 11

For AcTmPb2O8, a GGA-PBE-relaxed structure gives the simulated powder X-ray diffraction pattern in this record (Cu Ka).

Crystal structure
Cell: 5.578 5.578 11.450 Å, 90.00 90.00 90.00°
Space group I-4 (No. 82)
Inequivalent atoms, fractional coordinates:
Ac  0.000  0.000  0.000
Tm  0.000  0.500  0.250
Pb  0.000  0.000  0.500
Pb  0.000  0.500  0.750
O  0.183  0.260  0.398
O  0.215  0.754  0.841

Principal peaks in the range 10 to 90 degrees two-theta, in order of falling intensity:
3.248 Å, 2θ = 27.46°, I = 100
1.998 Å, 2θ = 45.40°, I = 32
1.686 Å, 2θ = 54.43°, I = 31
2.789 Å, 2θ = 32.09°, I = 24
1.718 Å, 2θ = 53.33°, I = 17
1.972 Å, 2θ = 46.02°, I = 16
2.863 Å, 2θ = 31.25°, I = 14
1.295 Å, 2θ = 73.05°, I = 13
1.624 Å, 2θ = 56.68°, I = 12
1.143 Å, 2θ = 84.78°, I = 10

Copy entry 1 word for word.
For AcTcPbO6, a GGA-PBE-relaxed structure gives the simulated powder X-ray diffraction pattern in this record (Cu Ka).

Crystal structure
Cell: 5.7185 5.7185 5.1378 Å, 90.00 90.00 120.00°
Space group P312 (No. 149)
Inequivalent atoms, fractional coordinates:
Ac  0.0000  0.0000  0.0000
Tc  0.6667  0.3333  0.5000
Pb  0.3333  0.6667  0.5000
O  0.3865  0.0582  0.7128

Principal peaks in the range 10 to 90 degrees two-theta, in order of falling intensity:
3.566 Å, 2θ = 24.97°, I = 100
2.859 Å, 2θ = 31.28°, I = 45
1.911 Å, 2θ = 47.59°, I = 38
2.231 Å, 2θ = 40.44°, I = 28
1.759 Å, 2θ = 52.00°, I = 28
1.651 Å, 2θ = 55.68°, I = 13
1.327 Å, 2θ = 71.04°, I = 11
1.619 Å, 2θ = 56.89°, I = 11
1.389 Å, 2θ = 67.44°, I = 10
1.264 Å, 2θ = 75.20°, I = 10

Number 1 is which compound?
AcTcPbO6